[1]
DyScS2Br2: computed PXRD pattern (Cu Kα (λ = 1.5418 Å)), based on DFT lattice parameters and positions (PBE).
Kinematic intensities with the Lorentz-polarization factor, no thermal factor.

Structural model:
a b c (Å): 3.9215 5.2414 8.9299
angles (deg): 90.00 90.00 90.00
Space group Pmm2 (No. 25)
Symmetry-distinct sites (fractional):
Dy 0.0000 0.0000 0.0000 [1 per cell]
Sc 0.5000 0.5000 0.7512 [1 per cell]
S 0.0000 0.5000 0.9423 [1 per cell]
S 0.5000 0.0000 0.7876 [1 per cell]
Br 0.0000 0.5000 0.5441 [1 per cell]
Br 0.5000 0.0000 0.2256 [1 per cell]

Main lines, by angle (10° ≤ 2θ ≤ 80°):
5.241 Å, 2θ 16.92, rel. 13
4.520 Å, 2θ 19.64, rel. 100
2.962 Å, 2θ 30.17, rel. 39
2.946 Å, 2θ 30.34, rel. 84
2.621 Å, 2θ 34.21, rel. 34
2.568 Å, 2θ 34.93, rel. 12
2.371 Å, 2θ 37.95, rel. 11
2.232 Å, 2θ 40.40, rel. 13
2.160 Å, 2θ 41.82, rel. 41
1.959 Å, 2θ 46.35, rel. 64
1.799 Å, 2θ 50.75, rel. 16
1.570 Å, 2θ 58.80, rel. 20

[2]
LaCo5: computed PXRD pattern (Cu Kα (λ = 1.5418 Å)), based on DFT lattice parameters and positions (PBE).
Kinematic intensities with the Lorentz-polarization factor, no thermal factor.

Structural model:
a b c (Å): 5.0446 8.6552 7.8512
angles (deg): 90.00 90.00 90.00
Space group Cccm (No. 66)
Symmetry-distinct sites (fractional):
La 0.0000 0.0000 0.0000 [4 per cell]
Co 0.0000 0.5000 0.2500 [4 per cell]
Co 0.0328 0.3380 0.0000 [8 per cell]
Co 0.2500 0.2500 0.2605 [8 per cell]

Main lines, by angle (10° ≤ 2θ ≤ 80°):
2.917 Å, 2θ 30.65, rel. 45
2.908 Å, 2θ 30.75, rel. 25
2.522 Å, 2θ 35.59, rel. 15
2.504 Å, 2θ 35.86, rel. 31
2.179 Å, 2θ 41.44, rel. 40
2.164 Å, 2θ 41.74, rel. 16
2.122 Å, 2θ 42.61, rel. 48
2.111 Å, 2θ 42.83, rel. 100
1.963 Å, 2θ 46.25, rel. 38
1.458 Å, 2θ 63.82, rel. 20
1.362 Å, 2θ 68.92, rel. 20
1.252 Å, 2θ 75.98, rel. 20

[3]
PrY2Sn3PdPt2: computed PXRD pattern (Cu Kα (λ = 1.5418 Å)), based on DFT lattice parameters and positions (PBE).
Kinematic intensities with the Lorentz-polarization factor, no thermal factor.

Structural model:
a b c (Å): 4.0742 13.1868 7.5649
angles (deg): 90.00 90.00 90.00
Space group Amm2 (No. 38)
Symmetry-distinct sites (fractional):
Pr 0.0000 0.0000 0.0000 [2 per cell]
Y 0.0000 0.2039 0.3868 [4 per cell]
Sn 0.5000 0.0000 0.3365 [2 per cell]
Sn 0.5000 0.1296 0.7160 [4 per cell]
Pd 0.0000 0.0000 0.5862 [2 per cell]
Pt 0.5000 0.1701 0.0915 [4 per cell]

Main lines, by angle (10° ≤ 2θ ≤ 80°):
2.777 Å, 2θ 32.24, rel. 100
2.563 Å, 2θ 35.01, rel. 33
2.555 Å, 2θ 35.12, rel. 69
2.488 Å, 2θ 36.11, rel. 32
2.477 Å, 2θ 36.27, rel. 17
2.198 Å, 2θ 41.07, rel. 20
2.187 Å, 2θ 41.28, rel. 33
2.123 Å, 2θ 42.58, rel. 33
2.037 Å, 2θ 44.47, rel. 32
1.576 Å, 2θ 58.57, rel. 16
1.491 Å, 2θ 62.28, rel. 20
1.416 Å, 2θ 65.96, rel. 24

[4]
KLuFeS3: computed PXRD pattern (Cu Kα (λ = 1.5418 Å)), based on DFT lattice parameters and positions (PBE).
Kinematic intensities with the Lorentz-polarization factor, no thermal factor.

Structural model:
a b c (Å): 14.5187 3.8710 10.4508
angles (deg): 90.00 90.00 90.00
Space group Pnma (No. 62)
Symmetry-distinct sites (fractional):
K 0.2353 0.2500 0.0369 [4 per cell]
Lu 0.0152 0.2500 0.3455 [4 per cell]
Fe 0.0107 0.7500 0.0866 [4 per cell]
S 0.0807 0.7500 0.8850 [4 per cell]
S 0.0955 0.2500 0.5710 [4 per cell]
S 0.1213 0.7500 0.2420 [4 per cell]

Main lines, by angle (10° ≤ 2θ ≤ 80°):
7.259 Å, 2θ 12.19, rel. 100
3.630 Å, 2θ 24.52, rel. 21
3.387 Å, 2θ 26.31, rel. 13
3.247 Å, 2θ 27.47, rel. 14
3.041 Å, 2θ 29.37, rel. 28
2.904 Å, 2θ 30.79, rel. 16
2.616 Å, 2θ 34.28, rel. 35
2.567 Å, 2θ 34.95, rel. 15
2.458 Å, 2θ 36.55, rel. 12
2.122 Å, 2θ 42.60, rel. 24
1.935 Å, 2θ 46.96, rel. 13
1.783 Å, 2θ 51.24, rel. 15

[5]
Cu19Ag: computed PXRD pattern (Cu Kα (λ = 1.5418 Å)), based on DFT lattice parameters and positions (PBE).
Kinematic intensities with the Lorentz-polarization factor, no thermal factor.

Structural model:
a b c (Å): 4.4459 5.7214 9.9432
angles (deg): 106.63 94.30 97.25
Space group P-1 (No. 2)
Symmetry-distinct sites (fractional):
Cu 0.0000 0.0000 0.0000 [1 per cell]
Cu 0.0013 0.7979 0.1958 [2 per cell]
Cu 0.0018 0.3976 0.6070 [2 per cell]
Cu 0.2405 0.8564 0.6543 [2 per cell]
Cu 0.2484 0.0393 0.4484 [2 per cell]
Cu 0.2482 0.2437 0.2434 [2 per cell]
Cu 0.2496 0.4498 0.0488 [2 per cell]
Cu 0.2512 0.6511 0.8513 [2 per cell]
Cu 0.4988 0.1006 0.9027 [2 per cell]
Cu 0.4995 0.2971 0.7071 [2 per cell]
Ag 0.5000 0.5000 0.5000 [1 per cell]

Main lines, by angle (10° ≤ 2θ ≤ 80°):
2.095 Å, 2θ 43.19, rel. 100
1.817 Å, 2θ 50.22, rel. 31
1.808 Å, 2θ 50.47, rel. 15
1.285 Å, 2θ 73.70, rel. 4
1.284 Å, 2θ 73.81, rel. 4
1.282 Å, 2θ 73.95, rel. 18

[6]
TbGdP2Os2S2: computed PXRD pattern (Cu Kα (λ = 1.5418 Å)), based on DFT lattice parameters and positions (PBE).
Kinematic intensities with the Lorentz-polarization factor, no thermal factor.

Structural model:
a b c (Å): 4.1604 4.1604 8.6575
angles (deg): 90.00 90.00 90.00
Space group P4mm (No. 99)
Symmetry-distinct sites (fractional):
Tb 0.0000 0.0000 0.0000 [1 per cell]
Gd 0.5000 0.5000 0.4023 [1 per cell]
P 0.0000 0.0000 0.5674 [1 per cell]
P 0.5000 0.5000 0.8354 [1 per cell]
Os 0.0000 0.5000 0.7016 [2 per cell]
S 0.0000 0.5000 0.1997 [2 per cell]

Main lines, by angle (10° ≤ 2θ ≤ 80°):
8.658 Å, 2θ 10.22, rel. 64
3.750 Å, 2θ 23.73, rel. 40
3.000 Å, 2θ 29.78, rel. 21
2.886 Å, 2θ 30.99, rel. 21
2.785 Å, 2θ 32.13, rel. 38
2.433 Å, 2θ 36.94, rel. 100
2.080 Å, 2θ 43.50, rel. 42
1.743 Å, 2θ 52.49, rel. 11
1.688 Å, 2θ 54.37, rel. 18
1.492 Å, 2θ 62.21, rel. 19
1.471 Å, 2θ 63.22, rel. 14
1.259 Å, 2θ 75.53, rel. 25

[7]
Rb2UPt3S6: computed PXRD pattern (Cu Kα (λ = 1.5418 Å)), based on DFT lattice parameters and positions (PBE).
Kinematic intensities with the Lorentz-polarization factor, no thermal factor.

Structural model:
a b c (Å): 9.8150 14.6587 16.9910
angles (deg): 90.00 90.00 90.00
Space group Fmmm (No. 69)
Symmetry-distinct sites (fractional):
Rb 0.0000 0.1917 0.0000 [8 per cell]
Rb 0.2500 0.2500 0.2500 [8 per cell]
U 0.0000 0.0000 0.3323 [8 per cell]
Pt 0.1650 0.0000 0.1613 [16 per cell]
Pt 0.1696 0.0000 0.5000 [8 per cell]
S 0.0000 0.1092 0.2014 [16 per cell]
S 0.1901 0.1102 0.3988 [32 per cell]

Main lines, by angle (10° ≤ 2θ ≤ 80°):
7.331 Å, 2θ 12.07, rel. 100
3.671 Å, 2θ 24.25, rel. 44
2.832 Å, 2θ 31.59, rel. 11
2.781 Å, 2θ 32.18, rel. 46
2.642 Å, 2θ 33.94, rel. 22
2.451 Å, 2θ 36.67, rel. 35
2.241 Å, 2θ 40.24, rel. 14
2.037 Å, 2θ 44.47, rel. 33
1.850 Å, 2θ 49.26, rel. 12
1.684 Å, 2θ 54.49, rel. 11
1.625 Å, 2θ 56.64, rel. 14
1.321 Å, 2θ 71.40, rel. 11

[8]
NbBrCl3: computed PXRD pattern (Cu Kα (λ = 1.5418 Å)), based on DFT lattice parameters and positions (PBE).
Kinematic intensities with the Lorentz-polarization factor, no thermal factor.

Structural model:
a b c (Å): 12.4540 6.9677 8.4171
angles (deg): 90.00 130.90 90.00
Space group C2/m (No. 12)
Symmetry-distinct sites (fractional):
Nb 0.0000 0.2219 0.0000 [4 per cell]
Br 0.2186 0.0000 0.1889 [4 per cell]
Cl 0.0228 0.2429 0.2968 [8 per cell]
Cl 0.1760 0.5000 0.1528 [4 per cell]

Main lines, by angle (10° ≤ 2θ ≤ 80°):
6.362 Å, 2θ 13.92, rel. 93
6.188 Å, 2θ 14.31, rel. 64
5.366 Å, 2θ 16.52, rel. 27
4.207 Å, 2θ 21.12, rel. 41
2.800 Å, 2θ 31.96, rel. 100
2.709 Å, 2θ 33.07, rel. 34
2.352 Å, 2θ 38.27, rel. 29
2.258 Å, 2θ 39.92, rel. 20
2.235 Å, 2θ 40.36, rel. 24
2.103 Å, 2θ 43.00, rel. 19
1.811 Å, 2θ 50.38, rel. 25
1.669 Å, 2θ 55.04, rel. 21

[9]
HoErBC2: computed PXRD pattern (Cu Kα (λ = 1.5418 Å)), based on DFT lattice parameters and positions (PBE).
Kinematic intensities with the Lorentz-polarization factor, no thermal factor.

Structural model:
a b c (Å): 5.0694 5.0685 5.9983
angles (deg): 90.00 114.19 90.00
Space group Cm (No. 8)
Symmetry-distinct sites (fractional):
Ho 0.0000 0.0000 0.0000 [2 per cell]
Er 0.1961 0.5000 0.4045 [2 per cell]
B 0.3479 0.0000 0.7020 [2 per cell]
C 0.2090 0.0000 0.4290 [2 per cell]
C 0.4866 0.0000 0.9746 [2 per cell]

Main lines, by angle (10° ≤ 2θ ≤ 80°):
5.471 Å, 2θ 16.20, rel. 22
3.416 Å, 2θ 26.08, rel. 47
3.396 Å, 2θ 26.24, rel. 52
2.736 Å, 2θ 32.73, rel. 39
2.569 Å, 2θ 34.92, rel. 74
2.544 Å, 2θ 35.28, rel. 70
2.534 Å, 2θ 35.42, rel. 100
1.859 Å, 2θ 49.00, rel. 25
1.792 Å, 2θ 50.96, rel. 35
1.492 Å, 2θ 62.24, rel. 19
1.475 Å, 2θ 63.04, rel. 14
1.470 Å, 2θ 63.26, rel. 19

[10]
Pm2CuNi: computed PXRD pattern (Cu Kα (λ = 1.5418 Å)), based on DFT lattice parameters and positions (PBE).
Kinematic intensities with the Lorentz-polarization factor, no thermal factor.

Structural model:
a b c (Å): 5.6245 4.4285 7.6113
angles (deg): 90.00 109.88 90.00
Space group P2_1/m (No. 11)
Symmetry-distinct sites (fractional):
Pm 0.2177 0.2500 0.4333 [2 per cell]
Pm 0.2252 0.2500 0.9279 [2 per cell]
Cu 0.3549 0.7500 0.2154 [2 per cell]
Ni 0.3672 0.7500 0.7163 [2 per cell]

Main lines, by angle (10° ≤ 2θ ≤ 80°):
3.396 Å, 2θ 26.25, rel. 36
2.785 Å, 2θ 32.15, rel. 100
2.645 Å, 2θ 33.89, rel. 24
2.587 Å, 2θ 34.68, rel. 43
2.271 Å, 2θ 39.69, rel. 19
2.234 Å, 2θ 40.38, rel. 51
2.214 Å, 2θ 40.75, rel. 30
1.903 Å, 2θ 47.80, rel. 19
1.698 Å, 2θ 54.01, rel. 13
1.682 Å, 2θ 54.56, rel. 23
1.443 Å, 2θ 64.58, rel. 15
1.405 Å, 2θ 66.58, rel. 13